This entry pairs a crystal structure of PmV2CdO8 with its simulated X-ray diffraction stick pattern. Radiation: Cu Kα (λ = 1.5418 Å). Structure: a DFT-relaxed cell (PBE+U, Alexandria).
Peak positions follow from Bragg's law for the DFT cell and can differ from measured ones.

Cell lengths 6.1204, 6.1204, 6.1204 Å; angles 106.43, 106.43, 115.75 degrees
Atoms (fractional coordinates):
Pm1 0.0000 0.0000 0.0000
V1 0.5000 0.5000 0.0000
V2 0.7500 0.2500 0.5000
Cd1 0.2500 0.7500 0.5000
O1 0.3295 0.1456 0.8161
O2 0.3295 0.5134 0.1839
O3 0.3997 0.0875 0.3122
O4 0.4866 0.6705 0.8161
O5 0.7753 0.0875 0.6878
O6 0.8544 0.6705 0.1839
O7 0.9125 0.2247 0.3122
O8 0.9125 0.6003 0.6878

The 12 most intense peaks (5 to 70 degrees two-theta), low angle first:
d_spacing, I_rel
4.867, 288
3.665, 1000
2.756, 715
2.592, 194
2.288, 136
1.941, 117
1.888, 582
1.833, 162
1.639, 130
1.526, 168
1.487, 113
1.378, 110